Entry 1:
The following is a computed powder diffraction line list of CeSe2. It was derived from a crystal structure in the Materials Project, relaxed with GGA-PBE, using Cu Ka.
No peak broadening, texture or thermal motion is included.

Structural model:
a = 18.4724 Å, b = 18.4724 Å, c = 18.4724 Å
α = 99.81°, β = 99.81°, γ = 131.24°
Atoms (fractional coordinates):
Ce1 0.0652 0.9263 0.3416
Ce2 0.0737 0.4153 0.1389
Ce3 0.0847 0.4263 0.8611
Ce4 0.2236 0.0847 0.6584
Ce5 0.2764 0.9348 0.8611
Ce6 0.4153 0.2764 0.3416
Ce7 0.4263 0.5652 0.3416
Ce8 0.4348 0.7764 0.8611
Ce9 0.5652 0.2236 0.1389
Ce10 0.5737 0.4348 0.6584
Ce11 0.5847 0.7236 0.6584
Ce12 0.7236 0.0652 0.1389
Ce13 0.7764 0.9153 0.3416
Ce14 0.9153 0.5737 0.1389
Ce15 0.9263 0.5847 0.8611
Ce16 0.9348 0.0737 0.6584
Se1 0.0149 0.7500 0.2649
Se2 0.0353 0.5353 0.1618
Se3 0.0870 0.7796 0.8666
Se4 0.1040 0.1040 0.7079
Se5 0.1040 0.3960 0.0000
Se6 0.1266 0.9647 0.5000
Se7 0.2204 0.0870 0.3073
Se8 0.2500 0.5149 0.2649
Se9 0.2500 0.9851 0.7351
Se10 0.2796 0.5870 0.8666
Se11 0.3734 0.8734 0.8382
Se12 0.3960 0.1040 0.0000
Se13 0.3960 0.3960 0.2921
Se14 0.4130 0.2796 0.6927
Se15 0.4647 0.6266 0.5000
Se16 0.4851 0.7500 0.7351
Se17 0.5149 0.2500 0.2649
Se18 0.5353 0.3734 0.5000
Se19 0.5870 0.7204 0.3073
Se20 0.6040 0.6040 0.7079
Se21 0.6040 0.8960 0.0000
Se22 0.6266 0.1266 0.1618
Se23 0.7204 0.4130 0.1334
Se24 0.7500 0.0149 0.2649
Se25 0.7500 0.4851 0.7351
Se26 0.7796 0.9130 0.6927
Se27 0.8734 0.0353 0.5000
Se28 0.8960 0.6040 0.0000
Se29 0.8960 0.8960 0.2921
Se30 0.9130 0.2204 0.1334
Se31 0.9647 0.4647 0.8382
Se32 0.9851 0.2500 0.7351

Top 8 peaks for 2θ from 10° to 90°, by angle:
two_theta, I (rel.)
10.1, 100
10.5, 64
11.6, 91
14.6, 57
16.7, 84
19.4, 46
26.5, 26
32.3, 26


Entry 2:
The following is a computed powder diffraction line list of DyAu. It was derived from a crystal structure in the Materials Project, relaxed with GGA-PBE, using Cu Ka.
No peak broadening, texture or thermal motion is included.

Structural model:
a = 3.7142 Å, b = 11.0050 Å, c = 4.6976 Å
α = 90.00°, β = 90.00°, γ = 90.00°
Atoms (fractional coordinates):
Dy1 0.0000 0.1390 0.2500
Dy2 0.0000 0.8610 0.7500
Dy3 0.5000 0.3610 0.7500
Dy4 0.5000 0.6390 0.2500
Au1 0.0000 0.4124 0.2500
Au2 0.0000 0.5876 0.7500
Au3 0.5000 0.0876 0.7500
Au4 0.5000 0.9124 0.2500

Top 8 peaks for 2θ from 10° to 90°, by angle:
two_theta, I (rel.)
31.8, 100
32.5, 33
37.9, 28
38.3, 38
39.5, 84
49.1, 19
51.1, 19
63.9, 17